Structure and simulated XRD peak list of RbAlSi3O8 (a structure optimized by DFT (GGA-PBE); Cu Ka).
Kinematic intensities with the Lorentz-polarization factor, no thermal factor.

Largest 10 diffraction maxima, in order of rising 2θ, 2θ = 10–90°:
d = 3.714 Å, rel. 53, (1 0 -2)
d = 3.549 Å, rel. 50, (2 0 -1)
d = 3.526 Å, rel. 43, (2 -1 0)
d = 3.494 Å, rel. 68, (0 0 2)
d = 3.384 Å, rel. 100, (0 2 0)
d = 3.311 Å, rel. 59, (2 0 0)
d = 3.093 Å, rel. 41, (1 -1 2)
d = 3.029 Å, rel. 47, (1 2 -1)
d = 2.936 Å, rel. 39, (1 -2 2)
d = 2.676 Å, rel. 47, (1 1 -3)

Structural model:
```
data_RbAlSi3O8
_chemical_formula_sum 'Rb2 Al2 Si6 O16'
_cell_length_a 7.3512
_cell_length_b 7.8042
_cell_length_c 8.0803
_cell_angle_alpha 111.20
_cell_angle_beta 104.58
_cell_angle_gamma 103.81
_symmetry_space_group_name_H-M 'P -1'
_symmetry_Int_Tables_number 2
loop_
_symmetry_equiv_pos_as_xyz
'x,y,z'
'-x,-y,-z'
loop_
_atom_site_label
_atom_site_type_symbol
_atom_site_fract_x
_atom_site_fract_y
_atom_site_fract_z
_atom_site_occupancy
Rb1 Rb 0.1424 0.2986 0.2891 1
Al1 Al 0.2177 0.8209 0.2056 1
Si1 Si 0.2334 0.2005 0.8271 1
Si2 Si 0.3423 0.6046 0.8481 1
Si3 Si 0.3534 0.8388 0.6058 1
O1 O 0.0181 0.1513 0.8498 1
O2 O 0.2233 0.6690 0.9867 1
O3 O 0.2436 0.9958 0.6844 1
O4 O 0.2580 0.7275 0.3741 1
O5 O 0.2746 0.3620 0.7412 1
O6 O 0.2833 0.6620 0.6705 1
O7 O 0.4036 0.0578 0.3030 1
O8 O 0.4107 0.2951 0.0414 1
```

=====

Structure and simulated XRD peak list of RbAlSi3O8 (a structure optimized by DFT (GGA-PBE); Cu Ka).
Kinematic intensities with the Lorentz-polarization factor, no thermal factor.

Largest 10 diffraction maxima, in order of rising 2θ, 2θ = 10–90°:
d = 3.896 Å, rel. 66, (1 3 0)
d = 3.669 Å, rel. 40, (2 2 -1)
d = 3.495 Å, rel. 62, (1 1 -2)
d = 3.460 Å, rel. 100, (2 2 0)
d = 3.345 Å, rel. 34, (2 0 -2)
d = 3.268 Å, rel. 47, (0 0 2)
d = 3.077 Å, rel. 63, (1 3 1)
d = 2.807 Å, rel. 31, (1 3 -2)
d = 2.656 Å, rel. 40, (2 4 -1)
d = 2.223 Å, rel. 34, (0 6 0)

Structural model:
```
data_RbAlSi3O8
_chemical_formula_sum 'Rb4 Al4 Si12 O32'
_cell_length_a 8.9773
_cell_length_b 13.3337
_cell_length_c 7.2463
_cell_angle_alpha 90.00
_cell_angle_beta 115.60
_cell_angle_gamma 90.00
_symmetry_space_group_name_H-M 'C 1 2 1'
_symmetry_Int_Tables_number 5
loop_
_symmetry_equiv_pos_as_xyz
'x,y,z'
'-x,y,-z'
'x+1/2,y+1/2,z'
'-x+1/2,y+1/2,-z'
loop_
_atom_site_label
_atom_site_type_symbol
_atom_site_fract_x
_atom_site_fract_y
_atom_site_fract_z
_atom_site_occupancy
Rb1 Rb 0.2004 0.0000 0.3585 1
Al1 Al 0.2237 0.8882 0.8468 1
Si1 Si 0.0108 0.7008 0.7219 1
Si2 Si 0.0183 0.3175 0.7276 1
Si3 Si 0.2279 0.1283 0.8471 1
O1 O 0.0000 0.3486 0.5000 1
O2 O 0.0000 0.6599 0.5000 1
O3 O 0.0365 0.8200 0.7505 1
O4 O 0.0589 0.1960 0.7674 1
O5 O 0.1555 0.3433 0.2692 1
O6 O 0.1612 0.6643 0.2715 1
O7 O 0.1656 0.6393 0.9024 1
O8 O 0.1671 0.0144 0.7837 1
O9 O 0.1742 0.3812 0.8870 1
```

=====

Structure and simulated XRD peak list of Rb3TbAl2O6 (a structure optimized by DFT (GGA-PBE); Cu Ka).
Kinematic intensities with the Lorentz-polarization factor, no thermal factor.

Largest 10 diffraction maxima, in order of rising 2θ, 2θ = 10–90°:
d = 7.377 Å, rel. 19, (0 0 1)
d = 5.300 Å, rel. 33, (1 0 0)
d = 4.304 Å, rel. 19, (0 1 1)
d = 3.060 Å, rel. 83, (1 1 0)
d = 3.028 Å, rel. 100, (1 0 2)
d = 2.494 Å, rel. 18, (2 0 1)
d = 2.152 Å, rel. 48, (2 0 2)
d = 1.760 Å, rel. 39, (2 1 2)
d = 1.580 Å, rel. 21, (1 1 4)
d = 1.365 Å, rel. 18, (1 3 2)

Structural model:
```
data_Rb3TbAl2O6
_chemical_formula_sum 'Rb3 Tb1 Al2 O6'
_cell_length_a 6.1196
_cell_length_b 6.1196
_cell_length_c 7.3772
_cell_angle_alpha 90.00
_cell_angle_beta 90.00
_cell_angle_gamma 120.00
_symmetry_space_group_name_H-M 'P -3 m 1'
_symmetry_Int_Tables_number 164
_symmetry_space_group_name_Hall '-P 3 2"'
loop_
_atom_site_label
_atom_site_type_symbol
_atom_site_fract_x
_atom_site_fract_y
_atom_site_fract_z
_atom_site_occupancy
Rb1 Rb 0.0000 0.0000 0.0000 1
Rb2 Rb 0.3333 0.6667 0.7512 1
Tb1 Tb 0.0000 0.0000 0.5000 1
Al1 Al 0.3333 0.6667 0.3064 1
O1 O 0.1719 0.3439 0.3063 1
```

=====

Structure and simulated XRD peak list of RbTi3AlO8 (a structure optimized by DFT (GGA-PBE); Cu Ka).
Kinematic intensities with the Lorentz-polarization factor, no thermal factor.

Largest 10 diffraction maxima, in order of rising 2θ, 2θ = 10–90°:
d = 3.594 Å, rel. 28, (0 0 2)
d = 3.210 Å, rel. 100, (0 1 2)
d = 3.201 Å, rel. 54, (0 2 -1)
d = 2.864 Å, rel. 25, (1 1 0)
d = 2.494 Å, rel. 64, (1 -1 1)
d = 2.238 Å, rel. 72, (-1 1 1)
d = 1.899 Å, rel. 40, (1 -1 3)
d = 1.595 Å, rel. 20, (1 2 4)
d = 1.591 Å, rel. 23, (1 4 -1)
d = 1.353 Å, rel. 20, (2 3 0)

Structural model:
```
data_RbTi3AlO8
_chemical_formula_sum 'Rb1 Ti3 Al1 O8'
_cell_length_a 2.9859
_cell_length_b 7.3097
_cell_length_c 7.3404
_cell_angle_alpha 87.53
_cell_angle_beta 78.28
_cell_angle_gamma 78.23
_symmetry_space_group_name_H-M 'P 1'
_symmetry_Int_Tables_number 1
loop_
_symmetry_equiv_pos_as_xyz
'x,y,z'
loop_
_atom_site_label
_atom_site_type_symbol
_atom_site_fract_x
_atom_site_fract_y
_atom_site_fract_z
_atom_site_occupancy
Rb1 Rb 0.0000 0.0000 0.0000 1
Ti1 Ti 0.3078 0.8189 0.5114 1
Ti2 Ti 0.6588 0.2001 0.4824 1
Ti3 Ti 0.8280 0.4951 0.8355 1
Al1 Al 0.1447 0.5185 0.1881 1
O1 O 0.0350 0.2960 0.6314 1
O2 O 0.2899 0.0557 0.3602 1
O3 O 0.3261 0.6322 0.7128 1
O4 O 0.3361 0.3641 0.9603 1
O5 O 0.6497 0.6408 0.0573 1
O6 O 0.6583 0.3832 0.2967 1
O7 O 0.7061 0.9506 0.6378 1
O8 O 0.9600 0.7045 0.3731 1
```

=====

> Which formula does entry 4 have?

RbTi3AlO8